Er3Cd3Ag2: computed X-ray diffraction stick pattern (CuKα), based on the GGA-PBE geometry in Alexandria.
Kinematic intensities with the Lorentz-polarization factor, no thermal factor.

Crystal structure
a = 7.663 Å, b = 7.663 Å, c = 3.799 Å
α = 90.00°, β = 90.00°, γ = 120.00°
Fractional coordinates of all 8 atoms:
Er: 0.000 0.589 0.000
Er: 0.411 0.411 0.000
Er: 0.589 0.000 0.000
Cd: 0.000 0.230 0.500
Cd: 0.230 0.000 0.500
Cd: 0.770 0.770 0.500
Ag: 0.333 0.667 0.500
Ag: 0.667 0.333 0.500

Top 10 peaks for 10 to 80 degrees two-theta, most intense first:
index  Position (°2θ)  intensity
1 1 1  33.21  100
2 1 0  35.80  65
2 0 1  35.94  57
3 1 1  55.47  28
2 1 2  61.21  26
0 0 2  47.89  17
3 2 1  66.12  16
3 0 0  40.79  15
4 1 1  69.46  15
3 1 0  49.52  14